For Sc4AgPt2Au, a DFT-relaxed cell (PBE, Alexandria) gives the simulated powder X-ray diffraction pattern in this record (λ = 1.5418 Å (Cu Kα)).
Lines closer than 0.1° are merged.

Largest 6 diffraction maxima, low angle first, 10 to 80 degrees two-theta:
26.58 deg, I 86; 37.86 deg, I 100; 38.03 deg, I 100; 47.00 deg, I 20; 54.75 deg, I 34; 68.60 deg, I 34

Cell and atoms:
```
Sc4AgPt2Au
1.0
2.3659 1.3660 7.7793
-2.3659 1.3660 7.7793
0.0000 -2.7319 7.7793
Sc Ag Pt Au
4 1 2 1
Direct
0.1240 0.1240 0.1240
0.3744 0.3744 0.3744
0.6256 0.6256 0.6256
0.8760 0.8760 0.8760
0.5000 0.5000 0.5000
0.2463 0.2463 0.2463
0.7537 0.7537 0.7537
0.0000 0.0000 0.0000
```

***

For Sr8AgPtAu2, a DFT-relaxed cell (PBE, Alexandria) gives the simulated powder X-ray diffraction pattern in this record (λ = 1.5418 Å (Cu Kα)).
Lines closer than 0.1° are merged.

Largest 6 diffraction maxima, low angle first, 10 to 80 degrees two-theta:
16.97 deg, I 100; 23.02 deg, I 38; 25.91 deg, I 55; 33.21 deg, I 40; 33.74 deg, I 76; 41.02 deg, I 40

Cell and atoms:
```
Sr8AgPtAu2
1.0
7.2507 0.0000 0.0000
0.0000 9.1328 0.0000
-0.0234 0.0000 7.5341
Sr Ag Pt Au
8 1 1 2
Direct
0.2327 0.0000 0.3364
0.2456 0.5000 0.3196
0.2663 0.2638 0.8312
0.2663 0.7362 0.8312
0.7337 0.2638 0.1688
0.7337 0.7362 0.1688
0.7544 0.5000 0.6804
0.7673 0.0000 0.6636
0.5000 0.0000 0.0000
0.5000 0.5000 0.0000
0.0000 0.2554 0.5000
0.0000 0.7446 0.5000
```